# 1
# Er2TmTl2Hg2
Theoretical powder X-ray diffraction pattern, Cu Kα. Input: the PBE geometry in Alexandria.
Kinematic intensities with the Lorentz-polarization factor, no thermal factor.

Top 10 peaks for 10° ≤ 2θ ≤ 90°, low angle first:
- 2θ 31.66, 2.826 Å, I = 100
- 2θ 36.07, 2.490 Å, I = 84
- 2θ 48.74, 1.868 Å, I = 31
- 2θ 53.39, 1.716 Å, I = 13
- 2θ 62.12, 1.494 Å, I = 30
- 2θ 64.86, 1.437 Å, I = 16
- 2θ 66.13, 1.413 Å, I = 7
- 2θ 76.53, 1.245 Å, I = 10
- 2θ 77.71, 1.229 Å, I = 9
- 2θ 85.17, 1.139 Å, I = 13

Crystal structure
```
data_Er2TmTl2Hg2
_chemical_formula_sum 'Er2 Tm1 Tl2 Hg2'
_symmetry_space_group_name_H-M 'P 1'
_symmetry_Int_Tables_number 1
_cell_length_a 9.1911
_cell_length_b 9.1911
_cell_length_c 9.1911
_cell_angle_alpha 31.43
_cell_angle_beta 31.43
_cell_angle_gamma 31.43
loop_
_symmetry_equiv_pos_as_xyz
'x,y,z'
loop_
_atom_site_label
_atom_site_type_symbol
_atom_site_fract_x
_atom_site_fract_y
_atom_site_fract_z
Er1 Er 0.1321 0.1321 0.1321
Er2 Er 0.8679 0.8679 0.8679
Tm1 Tm 0.0000 0.0000 0.0000
Tl1 Tl 0.2743 0.2743 0.2743
Tl2 Tl 0.7257 0.7257 0.7257
Hg1 Hg 0.4358 0.4358 0.4358
Hg2 Hg 0.5642 0.5642 0.5642
```


# 2
# RbGe4Pt6
Theoretical powder X-ray diffraction pattern, Cu Kα. Input: the PBE geometry in Alexandria.
Kinematic intensities with the Lorentz-polarization factor, no thermal factor.

Top 10 peaks for 10° ≤ 2θ ≤ 90°, low angle first:
- 2θ 15.89, 5.577 Å, I = 58
- 2θ 16.40, 5.404 Å, I = 68
- 2θ 27.11, 3.289 Å, I = 42
- 2θ 30.59, 2.922 Å, I = 56
- 2θ 32.10, 2.789 Å, I = 57
- 2θ 33.12, 2.705 Å, I = 60
- 2θ 40.58, 2.223 Å, I = 100
- 2θ 40.76, 2.214 Å, I = 58
- 2θ 41.42, 2.180 Å, I = 48
- 2θ 42.39, 2.132 Å, I = 43

Crystal structure
```
data_RbGe4Pt6
_chemical_formula_sum 'Rb1 Ge4 Pt6'
_symmetry_space_group_name_H-M 'P 1'
_symmetry_Int_Tables_number 1
_cell_length_a 6.6028
_cell_length_b 6.6028
_cell_length_c 6.5440
_cell_angle_alpha 116.13
_cell_angle_beta 116.13
_cell_angle_gamma 94.54
loop_
_symmetry_equiv_pos_as_xyz
'x,y,z'
loop_
_atom_site_label
_atom_site_type_symbol
_atom_site_fract_x
_atom_site_fract_y
_atom_site_fract_z
Rb1 Rb 0.0000 0.0000 0.0000
Ge1 Ge 0.0998 0.4995 0.9360
Ge2 Ge 0.4582 0.4582 0.5787
Ge3 Ge 0.4995 0.0998 0.9360
Ge4 Ge 0.8522 0.8522 0.3837
Pt1 Pt 0.2054 0.2054 0.6439
Pt2 Pt 0.4538 0.7597 0.9816
Pt3 Pt 0.5095 0.5095 0.2620
Pt4 Pt 0.5247 0.9948 0.5049
Pt5 Pt 0.7597 0.4538 0.9816
Pt6 Pt 0.9948 0.5247 0.5049
```


# 3
# NdUAs2Rh5
Theoretical powder X-ray diffraction pattern, Cu Kα. Input: the PBE geometry in Alexandria.
Kinematic intensities with the Lorentz-polarization factor, no thermal factor.

Top 10 peaks for 10° ≤ 2θ ≤ 90°, low angle first:
- 2θ 22.21, 4.002 Å, I = 55
- 2θ 23.56, 3.777 Å, I = 39
- 2θ 32.48, 2.757 Å, I = 50
- 2θ 32.60, 2.747 Å, I = 31
- 2θ 35.41, 2.535 Å, I = 75
- 2θ 39.70, 2.270 Å, I = 52
- 2θ 45.13, 2.009 Å, I = 100
- 2θ 45.32, 2.001 Å, I = 78
- 2θ 68.02, 1.378 Å, I = 32
- 2θ 83.58, 1.157 Å, I = 36

Crystal structure
```
data_NdUAs2Rh5
_chemical_formula_sum 'Nd1 U1 As2 Rh5'
_symmetry_space_group_name_H-M 'P 1'
_symmetry_Int_Tables_number 1
_cell_length_a 4.0023
_cell_length_b 4.0023
_cell_length_c 11.4075
_cell_angle_alpha 90.00
_cell_angle_beta 90.00
_cell_angle_gamma 90.00
loop_
_symmetry_equiv_pos_as_xyz
'x,y,z'
loop_
_atom_site_label
_atom_site_type_symbol
_atom_site_fract_x
_atom_site_fract_y
_atom_site_fract_z
Nd1 Nd 0.0000 0.0000 0.0000
U1 U 0.5000 0.5000 0.5000
As1 As 0.5000 0.5000 0.2086
As2 As 0.5000 0.5000 0.7914
Rh1 Rh 0.0000 0.5000 0.3414
Rh2 Rh 0.0000 0.5000 0.6586
Rh3 Rh 0.5000 0.0000 0.3414
Rh4 Rh 0.5000 0.0000 0.6586
Rh5 Rh 0.5000 0.5000 0.0000
```


# 4
# LiTiH6O2F6
Theoretical powder X-ray diffraction pattern, Cu Kα. Input: the PBE geometry in Alexandria.
Kinematic intensities with the Lorentz-polarization factor, no thermal factor.

Top 10 peaks for 10° ≤ 2θ ≤ 90°, low angle first:
- 2θ 14.78, 5.992 Å, I = 65
- 2θ 16.15, 5.488 Å, I = 100
- 2θ 18.68, 4.751 Å, I = 59
- 2θ 22.83, 3.896 Å, I = 64
- 2θ 30.49, 2.932 Å, I = 29
- 2θ 31.22, 2.865 Å, I = 28
- 2θ 32.90, 2.722 Å, I = 22
- 2θ 40.32, 2.237 Å, I = 26
- 2θ 51.03, 1.790 Å, I = 33
- 2θ 53.31, 1.719 Å, I = 19

Crystal structure
```
data_LiTiH6O2F6
_chemical_formula_sum 'Li1 Ti1 H6 O2 F6'
_symmetry_space_group_name_H-M 'P 1'
_symmetry_Int_Tables_number 1
_cell_length_a 5.8573
_cell_length_b 5.8573
_cell_length_c 6.0500
_cell_angle_alpha 96.47
_cell_angle_beta 96.47
_cell_angle_gamma 70.05
loop_
_symmetry_equiv_pos_as_xyz
'x,y,z'
loop_
_atom_site_label
_atom_site_type_symbol
_atom_site_fract_x
_atom_site_fract_y
_atom_site_fract_z
Li1 Li 0.0000 0.0000 0.0000
Ti1 Ti 0.0000 0.0000 0.5000
H1 H 0.2815 0.5355 0.2239
H2 H 0.2884 0.2884 0.3477
H3 H 0.4645 0.7185 0.7761
H4 H 0.5355 0.2815 0.2239
H5 H 0.7116 0.7116 0.6523
H6 H 0.7185 0.4645 0.7761
O1 O 0.3468 0.3468 0.2168
O2 O 0.6532 0.6532 0.7832
F1 F 0.1828 0.7960 0.2380
F2 F 0.2010 0.2010 0.5243
F3 F 0.2040 0.8172 0.7620
F4 F 0.7960 0.1828 0.2380
F5 F 0.7990 0.7990 0.4757
F6 F 0.8172 0.2040 0.7620
```


# 5
# ErAg3F6
Theoretical powder X-ray diffraction pattern, Cu Kα. Input: the PBE geometry in Alexandria.
Kinematic intensities with the Lorentz-polarization factor, no thermal factor.

Top 10 peaks for 10° ≤ 2θ ≤ 90°, low angle first:
- 2θ 27.82, 3.206 Å, I = 100
- 2θ 28.16, 3.169 Å, I = 96
- 2θ 30.74, 2.909 Å, I = 23
- 2θ 33.25, 2.694 Å, I = 36
- 2θ 45.91, 1.977 Å, I = 72
- 2θ 47.31, 1.922 Å, I = 18
- 2θ 48.16, 1.889 Å, I = 16
- 2θ 53.08, 1.725 Å, I = 16
- 2θ 55.97, 1.643 Å, I = 27
- 2θ 56.54, 1.628 Å, I = 26

Crystal structure
```
data_ErAg3F6
_chemical_formula_sum 'Er1 Ag3 F6'
_symmetry_space_group_name_H-M 'P 1'
_symmetry_Int_Tables_number 1
_cell_length_a 6.9371
_cell_length_b 6.9371
_cell_length_c 3.8426
_cell_angle_alpha 90.00
_cell_angle_beta 90.00
_cell_angle_gamma 113.99
loop_
_symmetry_equiv_pos_as_xyz
'x,y,z'
loop_
_atom_site_label
_atom_site_type_symbol
_atom_site_fract_x
_atom_site_fract_y
_atom_site_fract_z
Er1 Er 0.0000 0.0000 0.0000
Ag1 Ag 0.0000 0.5000 0.5000
Ag2 Ag 0.5000 0.0000 0.5000
Ag3 Ag 0.5000 0.5000 0.0000
F1 F 0.1072 0.8928 0.5000
F2 F 0.1299 0.3593 0.0000
F3 F 0.3593 0.1299 0.0000
F4 F 0.6407 0.8701 0.0000
F5 F 0.8701 0.6407 0.0000
F6 F 0.8928 0.1072 0.5000
```


# 6
# Be2CrOs
Theoretical powder X-ray diffraction pattern, Cu Kα. Input: the PBE geometry in Alexandria.
Kinematic intensities with the Lorentz-polarization factor, no thermal factor.

Top 10 peaks for 10° ≤ 2θ ≤ 90°, low angle first:
- 2θ 20.71, 4.290 Å, I = 79
- 2θ 25.55, 3.487 Å, I = 34
- 2θ 33.11, 2.706 Å, I = 95
- 2θ 33.89, 2.645 Å, I = 50
- 2θ 42.91, 2.107 Å, I = 100
- 2θ 45.50, 1.994 Å, I = 51
- 2θ 49.92, 1.827 Å, I = 32
- 2θ 52.90, 1.731 Å, I = 22
- 2θ 69.83, 1.347 Å, I = 22
- 2θ 71.95, 1.312 Å, I = 26

Crystal structure
```
data_Be2CrOs
_chemical_formula_sum 'Be4 Cr2 Os2'
_symmetry_space_group_name_H-M 'P 1'
_symmetry_Int_Tables_number 1
_cell_length_a 3.4865
_cell_length_b 2.7809
_cell_length_c 8.5790
_cell_angle_alpha 90.00
_cell_angle_beta 90.00
_cell_angle_gamma 90.00
loop_
_symmetry_equiv_pos_as_xyz
'x,y,z'
loop_
_atom_site_label
_atom_site_type_symbol
_atom_site_fract_x
_atom_site_fract_y
_atom_site_fract_z
Be1 Be 0.0000 0.0000 0.0000
Be2 Be 0.0000 0.5000 0.5000
Be3 Be 0.5000 0.0000 0.1313
Be4 Be 0.5000 0.5000 0.6313
Cr1 Cr 0.0000 0.0000 0.7290
Cr2 Cr 0.0000 0.5000 0.2290
Os1 Os 0.5000 0.0000 0.4028
Os2 Os 0.5000 0.5000 0.9028
```


# 7
# TmTh2Ga6
Theoretical powder X-ray diffraction pattern, Cu Kα. Input: the PBE geometry in Alexandria.
Kinematic intensities with the Lorentz-polarization factor, no thermal factor.

Top 10 peaks for 10° ≤ 2θ ≤ 90°, low angle first:
- 2θ 24.17, 3.682 Å, I = 23
- 2θ 32.39, 2.764 Å, I = 100
- 2θ 42.52, 2.126 Å, I = 38
- 2θ 43.26, 2.091 Å, I = 12
- 2θ 50.16, 1.819 Å, I = 7
- 2θ 54.45, 1.685 Å, I = 23
- 2θ 62.27, 1.491 Å, I = 25
- 2θ 71.43, 1.321 Å, I = 21
- 2θ 72.48, 1.304 Å, I = 10
- 2θ 77.81, 1.227 Å, I = 6

Crystal structure
```
data_TmTh2Ga6
_chemical_formula_sum 'Tm1 Th2 Ga6'
_symmetry_space_group_name_H-M 'P 1'
_symmetry_Int_Tables_number 1
_cell_length_a 7.3647
_cell_length_b 7.3647
_cell_length_c 4.1831
_cell_angle_alpha 90.00
_cell_angle_beta 90.00
_cell_angle_gamma 120.00
loop_
_symmetry_equiv_pos_as_xyz
'x,y,z'
loop_
_atom_site_label
_atom_site_type_symbol
_atom_site_fract_x
_atom_site_fract_y
_atom_site_fract_z
Tm1 Tm 0.0000 0.0000 0.0000
Th1 Th 0.3333 0.6667 0.0000
Th2 Th 0.6667 0.3333 0.0000
Ga1 Ga 0.0000 0.3312 0.5000
Ga2 Ga 0.0000 0.6688 0.5000
Ga3 Ga 0.3312 0.0000 0.5000
Ga4 Ga 0.3312 0.3312 0.5000
Ga5 Ga 0.6688 0.0000 0.5000
Ga6 Ga 0.6688 0.6688 0.5000
```


# 8
# Cr4CoTc4
Theoretical powder X-ray diffraction pattern, Cu Kα. Input: the PBE geometry in Alexandria.
Kinematic intensities with the Lorentz-polarization factor, no thermal factor.

Top 10 peaks for 10° ≤ 2θ ≤ 90°, low angle first:
- 2θ 31.71, 2.821 Å, I = 18
- 2θ 39.36, 2.289 Å, I = 44
- 2θ 42.02, 2.150 Å, I = 100
- 2θ 42.50, 2.127 Å, I = 14
- 2θ 44.05, 2.056 Å, I = 8
- 2θ 44.96, 2.016 Å, I = 20
- 2θ 50.53, 1.806 Å, I = 9
- 2θ 56.88, 1.619 Å, I = 18
- 2θ 73.18, 1.293 Å, I = 22
- 2θ 78.57, 1.218 Å, I = 13

Crystal structure
```
data_Cr4CoTc4
_chemical_formula_sum 'Cr4 Co1 Tc4'
_symmetry_space_group_name_H-M 'P 1'
_symmetry_Int_Tables_number 1
_cell_length_a 6.5999
_cell_length_b 6.5999
_cell_length_c 6.5999
_cell_angle_alpha 139.41
_cell_angle_beta 139.41
_cell_angle_gamma 58.76
loop_
_symmetry_equiv_pos_as_xyz
'x,y,z'
loop_
_atom_site_label
_atom_site_type_symbol
_atom_site_fract_x
_atom_site_fract_y
_atom_site_fract_z
Cr1 Cr 0.1162 0.7297 0.0000
Cr2 Cr 0.2703 0.2703 0.3864
Cr3 Cr 0.7297 0.1162 0.0000
Cr4 Cr 0.8838 0.8838 0.6136
Co1 Co 0.5000 0.5000 0.0000
Tc1 Tc 0.0965 0.0965 0.5531
Tc2 Tc 0.4565 0.9035 0.0000
Tc3 Tc 0.5435 0.5435 0.4469
Tc4 Tc 0.9035 0.4565 0.0000
```


# 9
# Li3TlAu3
Theoretical powder X-ray diffraction pattern, Cu Kα. Input: the PBE geometry in Alexandria.
Kinematic intensities with the Lorentz-polarization factor, no thermal factor.

Top 10 peaks for 10° ≤ 2θ ≤ 90°, low angle first:
- 2θ 25.36, 3.511 Å, I = 36
- 2θ 28.42, 3.141 Å, I = 100
- 2θ 31.20, 2.867 Å, I = 86
- 2θ 46.63, 1.948 Å, I = 27
- 2θ 48.50, 1.877 Å, I = 52
- 2θ 52.09, 1.756 Å, I = 21
- 2θ 60.40, 1.533 Å, I = 25
- 2θ 72.48, 1.304 Å, I = 22
- 2θ 73.92, 1.282 Å, I = 15
- 2θ 85.17, 1.139 Å, I = 16

Crystal structure
```
data_Li3TlAu3
_chemical_formula_sum 'Li6 Tl2 Au6'
_symmetry_space_group_name_H-M 'P 1'
_symmetry_Int_Tables_number 1
_cell_length_a 7.0230
_cell_length_b 7.0230
_cell_length_c 7.0230
_cell_angle_alpha 90.00
_cell_angle_beta 90.00
_cell_angle_gamma 90.00
loop_
_symmetry_equiv_pos_as_xyz
'x,y,z'
loop_
_atom_site_label
_atom_site_type_symbol
_atom_site_fract_x
_atom_site_fract_y
_atom_site_fract_z
Li1 Li 0.0000 0.2500 0.5000
Li2 Li 0.0000 0.7500 0.5000
Li3 Li 0.2500 0.5000 0.0000
Li4 Li 0.5000 0.0000 0.2500
Li5 Li 0.5000 0.0000 0.7500
Li6 Li 0.7500 0.5000 0.0000
Tl1 Tl 0.0000 0.0000 0.0000
Tl2 Tl 0.5000 0.5000 0.5000
Au1 Au 0.0000 0.5000 0.2500
Au2 Au 0.0000 0.5000 0.7500
Au3 Au 0.2500 0.0000 0.5000
Au4 Au 0.5000 0.2500 0.0000
Au5 Au 0.5000 0.7500 0.0000
Au6 Au 0.7500 0.0000 0.5000
```


# 10
# La3HgOs
Theoretical powder X-ray diffraction pattern, Cu Kα. Input: the PBE geometry in Alexandria.
Kinematic intensities with the Lorentz-polarization factor, no thermal factor.

Top 10 peaks for 10° ≤ 2θ ≤ 90°, low angle first:
- 2θ 18.86, 4.705 Å, I = 33
- 2θ 30.06, 2.973 Å, I = 100
- 2θ 30.43, 2.937 Å, I = 43
- 2θ 30.96, 2.888 Å, I = 98
- 2θ 31.92, 2.804 Å, I = 45
- 2θ 34.26, 2.617 Å, I = 57
- 2θ 34.55, 2.596 Å, I = 35
- 2θ 36.28, 2.476 Å, I = 35
- 2θ 39.01, 2.309 Å, I = 47
- 2θ 42.30, 2.137 Å, I = 48

Crystal structure
```
data_La3HgOs
_chemical_formula_sum 'La6 Hg2 Os2'
_symmetry_space_group_name_H-M 'P 1'
_symmetry_Int_Tables_number 1
_cell_length_a 5.9820
_cell_length_b 6.9845
_cell_length_c 8.6915
_cell_angle_alpha 67.83
_cell_angle_beta 76.26
_cell_angle_gamma 65.56
loop_
_symmetry_equiv_pos_as_xyz
'x,y,z'
loop_
_atom_site_label
_atom_site_type_symbol
_atom_site_fract_x
_atom_site_fract_y
_atom_site_fract_z
La1 La 0.0476 0.1535 0.1194
La2 La 0.3719 0.1856 0.6774
La3 La 0.3846 0.4679 0.2263
La4 La 0.6154 0.5321 0.7737
La5 La 0.6281 0.8144 0.3226
La6 La 0.9524 0.8465 0.8806
Hg1 Hg 0.0954 0.7416 0.5188
Hg2 Hg 0.9046 0.2584 0.4812
Os1 Os 0.4249 0.8417 0.9702
Os2 Os 0.5751 0.1583 0.0298
```


# 11
# TmScRhPb
Theoretical powder X-ray diffraction pattern, Cu Kα. Input: the PBE geometry in Alexandria.
Kinematic intensities with the Lorentz-polarization factor, no thermal factor.

Top 10 peaks for 10° ≤ 2θ ≤ 90°, low angle first:
- 2θ 11.45, 7.730 Å, I = 12
- 2θ 28.79, 3.101 Å, I = 32
- 2θ 34.82, 2.577 Å, I = 10
- 2θ 35.24, 2.547 Å, I = 100
- 2θ 37.57, 2.394 Å, I = 48
- 2θ 52.15, 1.754 Å, I = 13
- 2θ 54.19, 1.693 Å, I = 17
- 2θ 61.69, 1.504 Å, I = 13
- 2θ 62.52, 1.486 Å, I = 8
- 2θ 66.31, 1.410 Å, I = 32

Crystal structure
```
data_TmScRhPb
_chemical_formula_sum 'Tm1 Sc1 Rh1 Pb1'
_symmetry_space_group_name_H-M 'P 1'
_symmetry_Int_Tables_number 1
_cell_length_a 3.3853
_cell_length_b 3.3853
_cell_length_c 7.7303
_cell_angle_alpha 90.00
_cell_angle_beta 90.00
_cell_angle_gamma 90.00
loop_
_symmetry_equiv_pos_as_xyz
'x,y,z'
loop_
_atom_site_label
_atom_site_type_symbol
_atom_site_fract_x
_atom_site_fract_y
_atom_site_fract_z
Tm1 Tm 0.0000 0.0000 0.0000
Sc1 Sc 0.0000 0.0000 0.5885
Rh1 Rh 0.5000 0.5000 0.7790
Pb1 Pb 0.5000 0.5000 0.3088
```


# 12
# CaLa7Dy4
Theoretical powder X-ray diffraction pattern, Cu Kα. Input: the PBE geometry in Alexandria.
Kinematic intensities with the Lorentz-polarization factor, no thermal factor.

Top 10 peaks for 10° ≤ 2θ ≤ 90°, low angle first:
- 2θ 29.66, 3.012 Å, I = 100
- 2θ 34.32, 2.613 Å, I = 34
- 2θ 34.50, 2.600 Å, I = 17
- 2θ 49.45, 1.843 Å, I = 30
- 2θ 58.56, 1.576 Å, I = 14
- 2θ 58.68, 1.573 Å, I = 14
- 2θ 58.85, 1.569 Å, I = 14
- 2θ 61.51, 1.508 Å, I = 6
- 2θ 80.22, 1.197 Å, I = 8
- 2θ 82.68, 1.167 Å, I = 8

Crystal structure
```
data_CaLa7Dy4
_chemical_formula_sum 'Ca1 La7 Dy4'
_symmetry_space_group_name_H-M 'P 1'
_symmetry_Int_Tables_number 1
_cell_length_a 6.3883
_cell_length_b 7.3725
_cell_length_c 9.7679
_cell_angle_alpha 78.81
_cell_angle_beta 71.07
_cell_angle_gamma 89.97
loop_
_symmetry_equiv_pos_as_xyz
'x,y,z'
loop_
_atom_site_label
_atom_site_type_symbol
_atom_site_fract_x
_atom_site_fract_y
_atom_site_fract_z
Ca1 Ca 0.0000 0.0000 0.0000
La1 La 0.0000 0.5000 0.0000
La2 La 0.1678 0.9150 0.3416
La3 La 0.3433 0.3393 0.6614
La4 La 0.4980 0.7382 0.9999
La5 La 0.5020 0.2618 0.0001
La6 La 0.6567 0.6607 0.3386
La7 La 0.8322 0.0850 0.6584
Dy1 Dy 0.1626 0.4145 0.3353
Dy2 Dy 0.3430 0.8303 0.6618
Dy3 Dy 0.6570 0.1697 0.3382
Dy4 Dy 0.8374 0.5855 0.6647
```


# 13
# NbNi7Sn2Pt2
Theoretical powder X-ray diffraction pattern, Cu Kα. Input: the PBE geometry in Alexandria.
Kinematic intensities with the Lorentz-polarization factor, no thermal factor.

Top 10 peaks for 10° ≤ 2θ ≤ 90°, low angle first:
- 2θ 29.87, 2.992 Å, I = 47
- 2θ 35.76, 2.511 Å, I = 63
- 2θ 36.36, 2.471 Å, I = 33
- 2θ 38.66, 2.329 Å, I = 27
- 2θ 40.89, 2.207 Å, I = 83
- 2θ 44.02, 2.057 Å, I = 100
- 2θ 44.54, 2.034 Å, I = 55
- 2θ 51.46, 1.776 Å, I = 71
- 2θ 69.98, 1.344 Å, I = 38
- 2θ 86.25, 1.128 Å, I = 23

Crystal structure
```
data_NbNi7Sn2Pt2
_chemical_formula_sum 'Nb1 Ni7 Sn2 Pt2'
_symmetry_space_group_name_H-M 'P 1'
_symmetry_Int_Tables_number 1
_cell_length_a 3.5513
_cell_length_b 3.5513
_cell_length_c 14.1020
_cell_angle_alpha 97.17
_cell_angle_beta 97.17
_cell_angle_gamma 89.98
loop_
_symmetry_equiv_pos_as_xyz
'x,y,z'
loop_
_atom_site_label
_atom_site_type_symbol
_atom_site_fract_x
_atom_site_fract_y
_atom_site_fract_z
Nb1 Nb 0.0000 0.0000 0.0000
Ni1 Ni 0.0662 0.5661 0.1340
Ni2 Ni 0.2686 0.2686 0.5384
Ni3 Ni 0.4339 0.9338 0.8660
Ni4 Ni 0.5000 0.5000 0.0000
Ni5 Ni 0.5661 0.0662 0.1340
Ni6 Ni 0.7314 0.7314 0.4616
Ni7 Ni 0.9338 0.4339 0.8660
Sn1 Sn 0.1784 0.1784 0.3585
Sn2 Sn 0.8216 0.8216 0.6415
Pt1 Pt 0.3652 0.3652 0.7286
Pt2 Pt 0.6348 0.6348 0.2714
```


# 14
# ZnCrFe14
Theoretical powder X-ray diffraction pattern, Cu Kα. Input: the PBE geometry in Alexandria.
Kinematic intensities with the Lorentz-polarization factor, no thermal factor.

Top 8 peaks for 10° ≤ 2θ ≤ 90°, low angle first:
- 2θ 44.75, 2.025 Å, I = 100
- 2θ 45.10, 2.010 Å, I = 24
- 2θ 45.22, 2.005 Å, I = 24
- 2θ 64.49, 1.445 Å, I = 8
- 2θ 65.78, 1.420 Å, I = 14
- 2θ 82.19, 1.173 Å, I = 14
- 2θ 82.99, 1.164 Å, I = 14
- 2θ 83.16, 1.162 Å, I = 14

Crystal structure
```
data_ZnCrFe14
_chemical_formula_sum 'Zn1 Cr1 Fe14'
_symmetry_space_group_name_H-M 'P 1'
_symmetry_Int_Tables_number 1
_cell_length_a 4.9514
_cell_length_b 4.9514
_cell_length_c 8.0209
_cell_angle_alpha 90.00
_cell_angle_beta 90.00
_cell_angle_gamma 108.59
loop_
_symmetry_equiv_pos_as_xyz
'x,y,z'
loop_
_atom_site_label
_atom_site_type_symbol
_atom_site_fract_x
_atom_site_fract_y
_atom_site_fract_z
Zn1 Zn 0.0000 0.0000 0.0000
Cr1 Cr 0.5000 0.5000 0.0000
Fe1 Fe 0.0000 0.0000 0.5000
Fe2 Fe 0.0000 0.5000 0.0000
Fe3 Fe 0.0000 0.5000 0.5000
Fe4 Fe 0.2478 0.7522 0.2491
Fe5 Fe 0.2478 0.7522 0.7509
Fe6 Fe 0.2533 0.2533 0.2525
Fe7 Fe 0.2533 0.2533 0.7475
Fe8 Fe 0.5000 0.0000 0.0000
Fe9 Fe 0.5000 0.0000 0.5000
Fe10 Fe 0.5000 0.5000 0.5000
Fe11 Fe 0.7467 0.7467 0.2525
Fe12 Fe 0.7467 0.7467 0.7475
Fe13 Fe 0.7522 0.2478 0.2491
Fe14 Fe 0.7522 0.2478 0.7509
```